Structure and computed X-ray diffraction stick pattern of NiCl (the PBE geometry in the Materials Project; Cu Ka).

Most intense lines, 2θ = 15–90°, by angle:
d [Å], I_rel, (hkl)
2.862, 17, 1 1 1
2.479, 100, 2 0 0
1.753, 64, 2 2 0
1.495, 8, 3 1 1
1.431, 21, 2 2 2
1.239, 9, 4 0 0
1.137, 3, 3 3 1
1.109, 26, 4 2 0

Atomic structure:
Cell: 4.958 4.958 4.958 Å, 90.00 90.00 90.00°
Space group Fm-3m (No. 225)
Inequivalent atoms, fractional coordinates:
Ni (0.000, 0.000, 0.000) (multiplicity 4)
Cl (0.000, 0.000, 0.500) (multiplicity 4)